# 1
This entry pairs a crystal structure of CaLa8Nd3 with its theoretical XRD peak list. Radiation: λ = 1.5418 Å (Cu Kα). Structure: a crystal structure in Alexandria, relaxed with GGA-PBE.

Structure:
```
data_CaLa8Nd3
_cell_length_a 6.846
_cell_length_b 11.572
_cell_length_c 11.914
_cell_angle_alpha 90.00
_cell_angle_beta 90.00
_cell_angle_gamma 90.00
_symmetry_space_group_name_H-M 'I m m m'
_symmetry_Int_Tables_number 71
_symmetry_space_group_name_Hall '-I 2 2'
loop_
_atom_site_label
_atom_site_type_symbol
_atom_site_fract_x
_atom_site_fract_y
_atom_site_fract_z
_atom_site_occupancy
Ca1 Ca 0.000 0.000 0.000 1
La1 La 0.000 0.178 0.250 1
La2 La 0.224 0.280 0.000 1
Nd1 Nd 0.000 0.000 0.500 1
Nd2 Nd 0.000 0.500 0.229 1
```

Most intense lines, 15 to 90 degrees two-theta, low angle first:
d 3.361, I 22.6, hkl 1 3 0
d 2.978, I 56.0, hkl 0 0 4
d 2.968, I 63.4, hkl 2 0 2
d 2.949, I 25.7, hkl 2 2 0
d 2.927, I 100.0, hkl 1 3 2
d 2.642, I 42.5, hkl 2 2 2
d 1.865, I 18.3, hkl 3 3 2
d 1.710, I 27.5, hkl 4 0 0

---

# 2
This entry pairs a crystal structure of Nd13Cd2 with its theoretical XRD peak list. Radiation: λ = 1.5418 Å (Cu Kα). Structure: a crystal structure in Alexandria, relaxed with GGA-PBE.

Structure:
```
data_Nd13Cd2
_cell_length_a 6.574
_cell_length_b 8.697
_cell_length_c 9.692
_cell_angle_alpha 68.92
_cell_angle_beta 78.09
_cell_angle_gamma 82.40
_symmetry_space_group_name_H-M 'P -1'
_symmetry_Int_Tables_number 2
loop_
_symmetry_equiv_pos_as_xyz
'x,y,z'
'-x,-y,-z'
loop_
_atom_site_label
_atom_site_type_symbol
_atom_site_fract_x
_atom_site_fract_y
_atom_site_fract_z
_atom_site_occupancy
Nd1 Nd 0.000 0.000 0.000 1
Nd2 Nd 0.052 0.418 0.707 1
Nd3 Nd 0.208 0.182 0.229 1
Nd4 Nd 0.252 0.596 0.944 1
Nd5 Nd 0.292 0.987 0.651 1
Nd6 Nd 0.456 0.371 0.416 1
Nd7 Nd 0.475 0.793 0.152 1
Cd1 Cd 0.123 0.794 0.456 1
```

Most intense lines, 15 to 90 degrees two-theta, low angle first:
d 2.952, I 53.5, hkl 2 1 2
d 2.939, I 55.1, hkl 1 -2 1
d 2.919, I 60.4, hkl 0 2 3
d 2.905, I 59.5, hkl 1 1 -2
d 2.749, I 100.0, hkl 1 3 1
d 2.226, I 20.7, hkl 1 0 4
d 1.944, I 33.7, hkl -1 4 2
d 1.613, I 20.9, hkl -2 3 4